[1]
Calculated powder X-ray diffraction pattern
Compound: BaNa3Br4O12
Radiation: Cu Kα (weighted mean of Kα1 and Kα2)
Structure: the GGA-PBE geometry in Alexandria
Lines closer than 0.1° are merged.

The 10 most intense peaks (10° ≤ 2θ ≤ 80°), in order of rising 2θ:
- 15.26 deg, rel. 48, (1 1 0)
- 25.37 deg, rel. 34, (2 1 1)
- 26.34 deg, rel. 100, (2 0 2)
- 26.59 deg, rel. 54, (3 0 0)
- 30.58 deg, rel. 43, (1 2 2)
- 33.19 deg, rel. 39, (1 1 3)
- 33.59 deg, rel. 29, (1 3 1)
- 43.48 deg, rel. 23, (0 2 4)
- 43.96 deg, rel. 35, (2 3 2)
- 49.51 deg, rel. 25, (5 0 2)

Structure:
Lattice parameters (Å, degrees): 11.6129 11.6129 9.1458 90.00 90.00 120.00
Space group R32 (No. 155, hexagonal axes)
Inequivalent atoms, fractional coordinates:
Ba (0.0000, 0.0000, 0.0000) x3
Na (0.0000, 0.5794, 0.0000) x9
Br (0.0000, 0.0000, 0.5000) x3
Br (0.0000, 0.3954, 0.5000) x9
O (0.0000, 0.5426, 0.5000) x9
O (0.0000, 0.8486, 0.5000) x9
O (0.0476, 0.2023, 0.1854) x18


[2]
Calculated powder X-ray diffraction pattern
Compound: Ba4NiBr
Radiation: Cu Kα (weighted mean of Kα1 and Kα2)
Structure: the GGA-PBE geometry in Alexandria
Lines closer than 0.1° are merged.

The 10 most intense peaks (10° ≤ 2θ ≤ 80°), in order of rising 2θ:
- 11.88 deg, rel. 25, (2 0 0)
- 21.74 deg, rel. 22, (2 0 -2)
- 23.74 deg, rel. 46, (1 1 1)
- 23.88 deg, rel. 25, (4 0 0)
- 26.48 deg, rel. 53, (2 0 2)
- 27.19 deg, rel. 100, (3 1 -1)
- 36.95 deg, rel. 36, (1 1 -3)
- 39.65 deg, rel. 38, (5 1 1)
- 39.96 deg, rel. 19, (0 2 0)
- 48.58 deg, rel. 20, (2 2 2)

Structure:
Lattice parameters (Å, degrees): 15.289 4.513 8.669 90.00 102.94 90.00
Space group C2/m (No. 12)
Inequivalent atoms, fractional coordinates:
Ba (0.114, 0.000, 0.393) x4
Ba (0.128, 0.500, 0.837) x4
Ni (0.000, 0.500, 0.500) x2
Br (0.000, 0.000, 0.000) x2


Copy entry 1 word for word.
Calculated powder X-ray diffraction pattern
Compound: BaNa3Br4O12
Radiation: Cu Kα (weighted mean of Kα1 and Kα2)
Structure: the GGA-PBE geometry in Alexandria
Lines closer than 0.1° are merged.

The 10 most intense peaks (10° ≤ 2θ ≤ 80°), in order of rising 2θ:
- 15.26 deg, rel. 48, (1 1 0)
- 25.37 deg, rel. 34, (2 1 1)
- 26.34 deg, rel. 100, (2 0 2)
- 26.59 deg, rel. 54, (3 0 0)
- 30.58 deg, rel. 43, (1 2 2)
- 33.19 deg, rel. 39, (1 1 3)
- 33.59 deg, rel. 29, (1 3 1)
- 43.48 deg, rel. 23, (0 2 4)
- 43.96 deg, rel. 35, (2 3 2)
- 49.51 deg, rel. 25, (5 0 2)

Structure:
Lattice parameters (Å, degrees): 11.6129 11.6129 9.1458 90.00 90.00 120.00
Space group R32 (No. 155, hexagonal axes)
Inequivalent atoms, fractional coordinates:
Ba (0.0000, 0.0000, 0.0000) x3
Na (0.0000, 0.5794, 0.0000) x9
Br (0.0000, 0.0000, 0.5000) x3
Br (0.0000, 0.3954, 0.5000) x9
O (0.0000, 0.5426, 0.5000) x9
O (0.0000, 0.8486, 0.5000) x9
O (0.0476, 0.2023, 0.1854) x18